# BeCuBr4
Simulated powder diffraction line list, Cu Kα X-rays. Input: a DFT-relaxed cell (PBE, OQMD).
No peak broadening, texture or thermal motion is included.

Atomic structure:
Cell: 9.6099 9.9174 3.3959 Å, 90.00 90.00 90.00°
Space group Cmmm (No. 65)
Inequivalent atoms, fractional coordinates:
Be1 0.0000 0.0000 0.0000
Cu1 0.0000 0.5000 0.5000
Br1 0.0000 0.1594 0.5000
Br2 0.1772 0.5000 0.0000

Top 12 peaks for 10 to 80 degrees two-theta, by angle:
hkl 0 2 0, 2θ 17.9, d = 4.959 Å, rel. 53
hkl 2 0 0, 2θ 18.5, d = 4.805 Å, rel. 33
hkl 1 3 0, 2θ 28.6, d = 3.126 Å, rel. 100
hkl 3 1 0, 2θ 29.3, d = 3.048 Å, rel. 52
hkl 0 2 1, 2θ 31.9, d = 2.802 Å, rel. 24
hkl 2 0 1, 2θ 32.3, d = 2.773 Å, rel. 87
hkl 1 3 1, 2θ 39.2, d = 2.300 Å, rel. 28
hkl 4 0 1, 2θ 46.3, d = 1.961 Å, rel. 21
hkl 3 3 1, 2θ 47.8, d = 1.905 Å, rel. 83
hkl 5 3 0, 2θ 55.3, d = 1.662 Å, rel. 20
hkl 1 3 2, 2θ 62.2, d = 1.492 Å, rel. 24
hkl 2 6 1, 2θ 65.8, d = 1.420 Å, rel. 20

# Be7Pd2
Simulated powder diffraction line list, Cu Kα X-rays. Input: a DFT-relaxed cell (PBE, OQMD).
No peak broadening, texture or thermal motion is included.

Atomic structure:
Cell: 7.3372 4.2279 10.7653 Å, 90.00 90.00 90.00°
Space group Cmcm (No. 63)
Inequivalent atoms, fractional coordinates:
Be1 0.0000 0.1911 0.2500
Be2 0.1616 0.1901 0.0782
Be3 0.2482 0.0627 0.7500
Pd1 0.0000 0.3063 0.6169

Top 12 peaks for 10 to 80 degrees two-theta, by angle:
hkl 2 0 0, 2θ 24.3, d = 3.668 Å, rel. 90
hkl 1 1 1, 2θ 25.7, d = 3.468 Å, rel. 100
hkl 0 0 4, 2θ 33.3, d = 2.691 Å, rel. 34
hkl 1 1 3, 2θ 35.0, d = 2.563 Å, rel. 71
hkl 2 0 4, 2θ 41.6, d = 2.170 Å, rel. 50
hkl 0 2 0, 2θ 42.8, d = 2.115 Å, rel. 18
hkl 3 1 1, 2θ 43.6, d = 2.077 Å, rel. 38
hkl 1 1 5, 2θ 49.1, d = 1.856 Å, rel. 15
hkl 4 0 0, 2θ 49.7, d = 1.833 Å, rel. 28
hkl 3 1 3, 2θ 50.0, d = 1.823 Å, rel. 46
hkl 0 2 4, 2θ 55.2, d = 1.663 Å, rel. 16
hkl 4 0 4, 2θ 61.2, d = 1.515 Å, rel. 22

# Lu2Fe4B4Ir
Simulated powder diffraction line list, Cu Kα X-rays. Input: a DFT-relaxed cell (PBE, OQMD).
No peak broadening, texture or thermal motion is included.

Atomic structure:
Cell: 5.0173 9.5308 10.9268 Å, 90.00 90.00 90.00°
Space group Fmmm (No. 69)
Inequivalent atoms, fractional coordinates:
Lu1 0.0000 0.0000 0.1475
Fe1 0.2500 0.2500 0.0000
Fe2 0.2500 0.2500 0.2500
B1 0.0000 0.1595 0.3623
Ir1 0.0000 0.0000 0.5000

Top 12 peaks for 10 to 80 degrees two-theta, by angle:
hkl 0 2 0, 2θ 18.6, d = 4.765 Å, rel. 28
hkl 1 1 3, 2θ 31.8, d = 2.816 Å, rel. 100
hkl 0 4 0, 2θ 37.8, d = 2.383 Å, rel. 36
hkl 0 2 4, 2θ 38.0, d = 2.370 Å, rel. 13
hkl 2 2 0, 2θ 40.6, d = 2.220 Å, rel. 60
hkl 1 3 3, 2θ 41.8, d = 2.161 Å, rel. 56
hkl 1 5 3, 2θ 57.6, d = 1.601 Å, rel. 19
hkl 3 1 3, 2θ 61.8, d = 1.501 Å, rel. 15
hkl 2 2 6, 2θ 66.4, d = 1.408 Å, rel. 10
hkl 3 3 3, 2θ 68.4, d = 1.371 Å, rel. 13
hkl 2 6 0, 2θ 70.1, d = 1.342 Å, rel. 13
hkl 4 0 0, 2θ 75.9, d = 1.254 Å, rel. 12

# TlZnSF
Simulated powder diffraction line list, Cu Kα X-rays. Input: a DFT-relaxed cell (PBE, OQMD).
No peak broadening, texture or thermal motion is included.

Atomic structure:
Cell: 6.1993 6.8747 8.1070 Å, 90.00 90.00 90.00°
Space group P2_12_12_1 (No. 19)
Inequivalent atoms, fractional coordinates:
Tl1 0.1000 0.2133 0.1659
Zn1 0.0480 0.2147 0.6371
S1 0.1202 0.4202 0.8476
F1 0.1611 0.8411 0.0259

Top 12 peaks for 10 to 80 degrees two-theta, by angle:
hkl 1 0 1, 2θ 18.0, d = 4.925 Å, rel. 20
hkl 1 1 1, 2θ 22.2, d = 4.003 Å, rel. 28
hkl 0 2 0, 2θ 25.9, d = 3.437 Å, rel. 52
hkl 1 0 2, 2θ 26.3, d = 3.393 Å, rel. 21
hkl 1 1 2, 2θ 29.4, d = 3.042 Å, rel. 100
hkl 2 1 0, 2θ 31.7, d = 2.824 Å, rel. 77
hkl 0 1 3, 2θ 35.7, d = 2.515 Å, rel. 23
hkl 1 2 2, 2θ 37.2, d = 2.415 Å, rel. 26
hkl 2 1 2, 2θ 38.8, d = 2.318 Å, rel. 19
hkl 1 3 2, 2θ 47.9, d = 1.899 Å, rel. 25
hkl 3 0 2, 2θ 49.5, d = 1.842 Å, rel. 21
hkl 3 2 2, 2θ 56.7, d = 1.623 Å, rel. 22

# CdAg3Sn4O12
Simulated powder diffraction line list, Cu Kα X-rays. Input: a DFT-relaxed cell (PBE, OQMD).
No peak broadening, texture or thermal motion is included.

Atomic structure:
Cell: 7.8738 7.8738 7.8738 Å, 90.00 90.00 90.00°
Space group Im-3 (No. 204)
Inequivalent atoms, fractional coordinates:
Cd1 0.0000 0.0000 0.0000
Ag1 0.0000 0.0000 0.5000
Sn1 0.2500 0.2500 0.2500
O1 0.0000 0.2937 0.1816

Top 9 peaks for 10 to 80 degrees two-theta, by angle:
hkl 2 0 0, 2θ 22.6, d = 3.937 Å, rel. 1
hkl 2 2 0, 2θ 32.2, d = 2.784 Å, rel. 100
hkl 3 0 1, 2θ 36.1, d = 2.490 Å, rel. 1
hkl 3 1 2, 2θ 43.0, d = 2.104 Å, rel. 1
hkl 4 0 0, 2θ 46.1, d = 1.968 Å, rel. 25
hkl 4 2 0, 2θ 51.9, d = 1.761 Å, rel. 1
hkl 4 2 2, 2θ 57.3, d = 1.607 Å, rel. 46
hkl 4 4 0, 2θ 67.3, d = 1.392 Å, rel. 14
hkl 6 2 0, 2θ 76.5, d = 1.245 Å, rel. 18

# AgI3
Simulated powder diffraction line list, Cu Kα X-rays. Input: a DFT-relaxed cell (PBE, OQMD).
No peak broadening, texture or thermal motion is included.

Atomic structure:
Cell: 6.6265 7.6243 7.6353 Å, 65.17 66.26 82.81°
Space group P-1 (No. 2)
Inequivalent atoms, fractional coordinates:
Ag1 0.0246 0.1424 0.1690
I1 0.2045 0.7410 0.4987
I2 0.2726 0.4326 0.1634
I3 0.2918 0.0902 0.8079

Top 12 peaks for 10 to 80 degrees two-theta, by angle:
hkl 1 0 0, 2θ 14.6, d = 6.061 Å, rel. 14
hkl 1 -1 1, 2θ 23.3, d = 3.820 Å, rel. 100
hkl 0 2 1, 2θ 23.8, d = 3.738 Å, rel. 57
hkl 2 1 1, 2θ 28.3, d = 3.152 Å, rel. 15
hkl 1 1 -1, 2θ 30.1, d = 2.965 Å, rel. 16
hkl -1 1 2, 2θ 34.4, d = 2.607 Å, rel. 37
hkl 2 2 1, 2θ 34.8, d = 2.579 Å, rel. 29
hkl -2 2 1, 2θ 41.4, d = 2.179 Å, rel. 18
hkl 3 1 2, 2θ 41.8, d = 2.160 Å, rel. 15
hkl 1 3 3, 2θ 42.2, d = 2.143 Å, rel. 21
hkl 0 0 3, 2θ 42.5, d = 2.128 Å, rel. 20
hkl 1 3 0, 2θ 42.7, d = 2.117 Å, rel. 22

# Cd2Ge
Simulated powder diffraction line list, Cu Kα X-rays. Input: a DFT-relaxed cell (PBE, OQMD).
No peak broadening, texture or thermal motion is included.

Atomic structure:
Cell: 8.1795 8.1795 8.1795 Å, 90.00 90.00 90.00°
Space group Fd-3m (No. 227, origin choice 2)
Inequivalent atoms, fractional coordinates:
Cd1 0.0000 0.0000 0.0000
Ge1 0.1250 0.1250 0.6250

Top 12 peaks for 10 to 80 degrees two-theta, by angle:
hkl 1 1 1, 2θ 18.8, d = 4.722 Å, rel. 24
hkl 2 2 0, 2θ 30.9, d = 2.892 Å, rel. 16
hkl 3 1 1, 2θ 36.4, d = 2.466 Å, rel. 100
hkl 2 2 2, 2θ 38.1, d = 2.361 Å, rel. 55
hkl 4 0 0, 2θ 44.3, d = 2.045 Å, rel. 12
hkl 3 3 1, 2θ 48.5, d = 1.877 Å, rel. 6
hkl 4 2 2, 2θ 55.0, d = 1.670 Å, rel. 6
hkl 5 1 1, 2θ 58.6, d = 1.574 Å, rel. 32
hkl 4 4 0, 2θ 64.4, d = 1.446 Å, rel. 29
hkl 5 3 1, 2θ 67.8, d = 1.383 Å, rel. 4
hkl 5 3 3, 2θ 76.3, d = 1.247 Å, rel. 11
hkl 6 2 2, 2θ 77.4, d = 1.233 Å, rel. 19

# CdTePb6O10
Simulated powder diffraction line list, Cu Kα X-rays. Input: a DFT-relaxed cell (PBE, OQMD).
No peak broadening, texture or thermal motion is included.

Atomic structure:
Cell: 9.1273 11.5705 11.3482 Å, 90.00 90.00 90.00°
Space group C222_1 (No. 20)
Inequivalent atoms, fractional coordinates:
Cd1 0.0000 0.0792 0.2500
Te1 0.1767 0.0000 0.0000
Pb1 0.0000 0.4871 0.7500
Pb2 0.0069 0.2821 0.4873
Pb3 0.2045 0.2126 0.7586
Pb4 0.2081 0.0000 0.5000
O1 0.0207 0.0636 0.8960
O2 0.1299 0.3846 0.1489
O3 0.1527 0.1728 0.3726
O4 0.1728 0.1423 0.0936
O5 0.1778 0.4310 0.3946

Top 12 peaks for 10 to 80 degrees two-theta, by angle:
hkl 2 2 2, 2θ 29.5, d = 3.030 Å, rel. 100
hkl 1 3 2, 2θ 29.7, d = 3.011 Å, rel. 25
hkl 3 1 0, 2θ 30.4, d = 2.942 Å, rel. 8
hkl 0 4 0, 2θ 30.9, d = 2.893 Å, rel. 13
hkl 0 0 4, 2θ 31.5, d = 2.837 Å, rel. 25
hkl 0 4 4, 2θ 44.7, d = 2.025 Å, rel. 13
hkl 3 5 0, 2θ 49.5, d = 1.842 Å, rel. 13
hkl 4 0 4, 2θ 51.4, d = 1.779 Å, rel. 9
hkl 2 2 6, 2θ 54.9, d = 1.673 Å, rel. 17
hkl 5 3 2, 2θ 58.2, d = 1.584 Å, rel. 10
hkl 1 7 2, 2θ 59.1, d = 1.564 Å, rel. 8
hkl 3 5 4, 2θ 59.9, d = 1.545 Å, rel. 12